Simulated powder XRD pattern of Zr3Ni for Cu Kα (λ = 1.5418 Å), from a DFT-relaxed cell (PBE, Alexandria).
No peak broadening, texture or thermal motion is included.

Largest 10 diffraction maxima, in order of falling intensity, 15 to 90 degrees two-theta:
38.3 deg, rel. 100
34.3 deg, rel. 96
34.3 deg, rel. 69
35.6 deg, rel. 53
40.2 deg, rel. 47
37.6 deg, rel. 35
36.4 deg, rel. 21
58.7 deg, rel. 19
43.1 deg, rel. 19
42.0 deg, rel. 16

Lattice parameters (Å, degrees): 8.0557 8.0557 5.5643 110.12 110.12 83.12
Element x y z (fractional)
Zr: 0.0000 0.0000 0.0000
Zr: 0.0000 0.2810 0.6409
Zr: 0.1662 0.6405 0.1356
Zr: 0.3593 0.0465 0.4588
Zr: 0.3594 0.4478 0.6699
Zr: 0.3595 0.8338 0.8644
Zr: 0.3596 0.2346 0.0526
Zr: 0.5522 0.6406 0.3301
Zr: 0.7190 0.0000 0.3591
Zr: 0.7189 0.2811 0.0000
Zr: 0.7654 0.6404 0.9474
Zr: 0.9535 0.6407 0.5412
Ni: 0.0664 0.3478 0.2077
Ni: 0.0665 0.9335 0.5000
Ni: 0.6521 0.3479 0.5000
Ni: 0.6522 0.9336 0.7923

***

Simulated powder XRD pattern of PuGa9Fe2 for Cu Kα (λ = 1.5418 Å), from a DFT-relaxed cell (PBE, Alexandria).
No peak broadening, texture or thermal motion is included.

Largest 10 diffraction maxima, in order of falling intensity, 15 to 90 degrees two-theta:
37.6 deg, rel. 100
33.0 deg, rel. 22
41.1 deg, rel. 17
67.9 deg, rel. 16
44.4 deg, rel. 13
28.3 deg, rel. 12
29.0 deg, rel. 10
46.5 deg, rel. 10
51.2 deg, rel. 9
22.8 deg, rel. 9

Lattice parameters (Å, degrees): 8.2843 8.2843 8.2843 99.52 99.52 132.02
Element x y z (fractional)
Pu: 0.3750 0.6250 0.7500
Pu: 0.6250 0.3750 0.2500
Ga: 0.1250 0.8750 0.2500
Ga: 0.1268 0.5624 0.3231
Ga: 0.1268 0.8037 0.5644
Ga: 0.1963 0.2607 0.3231
Ga: 0.1963 0.8732 0.9356
Ga: 0.2607 0.1963 0.8231
Ga: 0.2607 0.4376 0.0644
Ga: 0.4376 0.2607 0.5644
Ga: 0.4376 0.8732 0.1769
Ga: 0.5624 0.1268 0.8231
Ga: 0.5624 0.7393 0.4356
Ga: 0.7393 0.5624 0.9356
Ga: 0.7393 0.8037 0.1769
Ga: 0.8037 0.1268 0.0644
Ga: 0.8037 0.7393 0.6769
Ga: 0.8732 0.1963 0.4356
Ga: 0.8732 0.4376 0.6769
Ga: 0.8750 0.1250 0.7500
Fe: 0.0000 0.0000 0.0000
Fe: 0.0000 0.0000 0.5000
Fe: 0.0000 0.5000 0.0000
Fe: 0.5000 0.0000 0.5000

***

Simulated powder XRD pattern of Sc3Ta for Cu Kα (λ = 1.5418 Å), from a DFT-relaxed cell (PBE, Alexandria).
No peak broadening, texture or thermal motion is included.

Largest 10 diffraction maxima, in order of falling intensity, 15 to 90 degrees two-theta:
37.2 deg, rel. 100
24.0 deg, rel. 52
16.1 deg, rel. 27
28.0 deg, rel. 26
35.8 deg, rel. 25
32.5 deg, rel. 24
47.2 deg, rel. 22
70.0 deg, rel. 19
65.3 deg, rel. 18
57.9 deg, rel. 17

Lattice parameters (Å, degrees): 6.3716 6.3716 5.0134 90.00 90.00 120.00
Element x y z (fractional)
Sc: 0.1724 0.3448 0.2500
Sc: 0.1724 0.8276 0.2500
Sc: 0.3448 0.1724 0.7500
Sc: 0.6552 0.8276 0.2500
Sc: 0.8276 0.1724 0.7500
Sc: 0.8276 0.6552 0.7500
Ta: 0.3333 0.6667 0.7500
Ta: 0.6667 0.3333 0.2500

***

Simulated powder XRD pattern of Dy5ErSc5 for Cu Kα (λ = 1.5418 Å), from a DFT-relaxed cell (PBE, Alexandria).
No peak broadening, texture or thermal motion is included.

Largest 10 diffraction maxima, in order of falling intensity, 15 to 90 degrees two-theta:
29.8 deg, rel. 100
31.0 deg, rel. 87
54.3 deg, rel. 37
32.0 deg, rel. 25
43.5 deg, rel. 24
58.6 deg, rel. 18
39.4 deg, rel. 18
55.1 deg, rel. 17
36.6 deg, rel. 17
72.7 deg, rel. 15

Lattice parameters (Å, degrees): 5.7726 5.7726 11.2686 90.00 90.00 120.00
Element x y z (fractional)
Dy: 0.0000 0.0000 0.0000
Dy: 0.3333 0.6667 0.3183
Dy: 0.3333 0.6667 0.6817
Dy: 0.6667 0.3333 0.1592
Dy: 0.6667 0.3333 0.8408
Er: 0.3333 0.6667 0.0000
Sc: 0.0000 0.0000 0.2692
Sc: 0.0000 0.0000 0.7308
Sc: 0.3292 0.1646 0.5000
Sc: 0.8354 0.1646 0.5000
Sc: 0.8354 0.6708 0.5000

***

Simulated powder XRD pattern of NaLaTl2V for Cu Kα (λ = 1.5418 Å), from a DFT-relaxed cell (PBE, Alexandria).
No peak broadening, texture or thermal motion is included.

Largest 10 diffraction maxima, in order of falling intensity, 15 to 90 degrees two-theta:
29.5 deg, rel. 100
33.9 deg, rel. 41
57.9 deg, rel. 30
49.4 deg, rel. 29
34.8 deg, rel. 19
17.2 deg, rel. 15
61.2 deg, rel. 15
48.7 deg, rel. 15
59.2 deg, rel. 14
80.0 deg, rel. 12

Lattice parameters (Å, degrees): 5.2914 5.2914 5.1556 90.00 90.00 90.00
Element x y z (fractional)
Na: 0.0000 0.0000 0.0000
La: 0.5000 0.5000 0.5000
Tl: 0.0000 0.5000 0.0000
Tl: 0.5000 0.0000 0.0000
V: 0.0000 0.0000 0.5000

***

Simulated powder XRD pattern of Rb2AsOsCl6 for Cu Kα (λ = 1.5418 Å), from a DFT-relaxed cell (PBE, Alexandria).
No peak broadening, texture or thermal motion is included.

Largest 10 diffraction maxima, in order of falling intensity, 15 to 90 degrees two-theta:
23.6 deg, rel. 100
36.1 deg, rel. 55
43.6 deg, rel. 40
25.3 deg, rel. 40
48.4 deg, rel. 38
31.1 deg, rel. 34
40.5 deg, rel. 24
17.8 deg, rel. 20
51.9 deg, rel. 20
61.8 deg, rel. 18

Lattice parameters (Å, degrees): 7.6066 7.6066 7.6066 124.83 124.83 81.81
Element x y z (fractional)
Rb: 0.2500 0.7500 0.5000
Rb: 0.7500 0.2500 0.5000
As: 0.0000 0.0000 0.0000
Os: 0.5000 0.5000 0.0000
Cl: 0.2577 0.2577 0.5153
Cl: 0.2577 0.7423 0.0000
Cl: 0.2922 0.2922 0.0000
Cl: 0.7078 0.7078 0.0000
Cl: 0.7423 0.2577 0.0000
Cl: 0.7423 0.7423 0.4847

***

Simulated powder XRD pattern of CdAu2Cl for Cu Kα (λ = 1.5418 Å), from a DFT-relaxed cell (PBE, Alexandria).
No peak broadening, texture or thermal motion is included.

Largest 10 diffraction maxima, in order of falling intensity, 15 to 90 degrees two-theta:
34.6 deg, rel. 100
38.3 deg, rel. 66
42.3 deg, rel. 50
39.4 deg, rel. 39
28.0 deg, rel. 38
45.0 deg, rel. 36
27.4 deg, rel. 30
41.8 deg, rel. 29
33.5 deg, rel. 29
38.0 deg, rel. 25

Lattice parameters (Å, degrees): 5.0759 5.0759 7.7059 120.20 120.20 40.79
Element x y z (fractional)
Cd: 0.0000 0.0000 0.0000
Au: 0.4248 0.4248 0.2324
Au: 0.7390 0.7390 0.2991
Cl: 0.3945 0.3945 0.7093

***

Simulated powder XRD pattern of Cs8Na3Hg for Cu Kα (λ = 1.5418 Å), from a DFT-relaxed cell (PBE, Alexandria).
No peak broadening, texture or thermal motion is included.

Largest 10 diffraction maxima, in order of falling intensity, 15 to 90 degrees two-theta:
23.8 deg, rel. 100
22.8 deg, rel. 91
20.3 deg, rel. 41
21.7 deg, rel. 28
36.8 deg, rel. 22
22.5 deg, rel. 20
33.2 deg, rel. 19
33.0 deg, rel. 19
41.3 deg, rel. 19
27.6 deg, rel. 18

Lattice parameters (Å, degrees): 14.9320 14.9320 9.7796 90.00 90.00 120.00
Element x y z (fractional)
Cs: 0.0000 0.0000 0.0386
Cs: 0.0000 0.0000 0.5386
Cs: 0.0698 0.5349 0.0000
Cs: 0.1757 0.3514 0.3050
Cs: 0.1757 0.8243 0.3050
Cs: 0.3333 0.6667 0.6175
Cs: 0.3514 0.1757 0.8050
Cs: 0.4651 0.5349 0.0000
Cs: 0.4651 0.9302 0.0000
Cs: 0.5349 0.0698 0.5000
Cs: 0.5349 0.4651 0.5000
Cs: 0.6486 0.8243 0.3050
Cs: 0.6667 0.3333 0.1175
Cs: 0.8243 0.1757 0.8050
Cs: 0.8243 0.6486 0.8050
Cs: 0.9302 0.4651 0.5000
Na: 0.1641 0.3282 0.7743
Na: 0.1641 0.8359 0.7743
Na: 0.3282 0.1641 0.2743
Na: 0.6718 0.8359 0.7743
Na: 0.8359 0.1641 0.2743
Na: 0.8359 0.6718 0.2743
Hg: 0.3333 0.6667 0.2104
Hg: 0.6667 0.3333 0.7104

***

Simulated powder XRD pattern of SmPu2PaS4 for Cu Kα (λ = 1.5418 Å), from a DFT-relaxed cell (PBE, Alexandria).
No peak broadening, texture or thermal motion is included.

Largest 10 diffraction maxima, in order of falling intensity, 15 to 90 degrees two-theta:
32.1 deg, rel. 100
27.7 deg, rel. 51
27.8 deg, rel. 50
46.1 deg, rel. 49
76.4 deg, rel. 23
54.5 deg, rel. 21
54.7 deg, rel. 17
57.1 deg, rel. 13
57.4 deg, rel. 13
54.6 deg, rel. 13

Lattice parameters (Å, degrees): 6.8303 3.9269 6.8404 90.00 109.28 90.00
Element x y z (fractional)
Sm: 0.0000 0.0000 0.0000
Pu: 0.5000 0.0000 0.5000
Pu: 0.5000 0.5000 0.0000
Pa: 0.0000 0.5000 0.5000
S: 0.2528 0.0000 0.7483
S: 0.2538 0.5000 0.2550
S: 0.7462 0.5000 0.7450
S: 0.7472 0.0000 0.2517

***

Simulated powder XRD pattern of TlCO2 for Cu Kα (λ = 1.5418 Å), from a DFT-relaxed cell (PBE, Alexandria).
No peak broadening, texture or thermal motion is included.

Largest 10 diffraction maxima, in order of falling intensity, 15 to 90 degrees two-theta:
24.9 deg, rel. 100
22.5 deg, rel. 53
27.2 deg, rel. 46
31.4 deg, rel. 40
40.3 deg, rel. 31
26.5 deg, rel. 26
42.4 deg, rel. 25
29.7 deg, rel. 21
32.6 deg, rel. 21
40.8 deg, rel. 19

Lattice parameters (Å, degrees): 6.8118 6.0062 6.9417 90.00 99.48 90.00
Element x y z (fractional)
Tl: 0.1958 0.0536 0.3154
Tl: 0.1958 0.4464 0.8154
Tl: 0.8042 0.5536 0.1846
Tl: 0.8042 0.9464 0.6846
C: 0.4293 0.5921 0.4464
C: 0.4293 0.9079 0.9464
C: 0.5707 0.0921 0.0536
C: 0.5707 0.4079 0.5536
O: 0.2441 0.5728 0.4466
O: 0.2441 0.9272 0.9466
O: 0.4888 0.2491 0.6330
O: 0.4888 0.2509 0.1330
O: 0.5112 0.7491 0.8670
O: 0.5112 0.7509 0.3670
O: 0.7559 0.0728 0.0534
O: 0.7559 0.4272 0.5534

***

Simulated powder XRD pattern of Er2Zn2Ni3 for Cu Kα (λ = 1.5418 Å), from a DFT-relaxed cell (PBE, Alexandria).
No peak broadening, texture or thermal motion is included.

Largest 10 diffraction maxima, in order of falling intensity, 15 to 90 degrees two-theta:
32.0 deg, rel. 100
39.4 deg, rel. 51
45.8 deg, rel. 45
57.0 deg, rel. 31
80.4 deg, rel. 25
42.7 deg, rel. 24
66.8 deg, rel. 24
22.5 deg, rel. 19
51.6 deg, rel. 18
71.5 deg, rel. 13

Lattice parameters (Å, degrees): 6.8585 6.8585 6.8585 109.47 109.47 109.47
Element x y z (fractional)
Er: 0.0000 0.9988 0.5000
Er: 0.5000 0.0000 0.9988
Er: 0.5012 0.5012 0.5012
Er: 0.9988 0.5000 0.0000
Zn: 0.0000 0.5881 0.5000
Zn: 0.5000 0.0000 0.5881
Zn: 0.5881 0.5000 0.0000
Zn: 0.9119 0.9119 0.9119
Ni: 0.0268 0.2500 0.2768
Ni: 0.2232 0.4732 0.7500
Ni: 0.2500 0.2768 0.0268
Ni: 0.2768 0.0268 0.2500
Ni: 0.4732 0.7500 0.2232
Ni: 0.7500 0.2232 0.4732

***

Simulated powder XRD pattern of Ti2Ni8Ir for Cu Kα (λ = 1.5418 Å), from a DFT-relaxed cell (PBE, Alexandria).
No peak broadening, texture or thermal motion is included.

Largest 10 diffraction maxima, in order of falling intensity, 15 to 90 degrees two-theta:
43.0 deg, rel. 100
43.2 deg, rel. 100
49.1 deg, rel. 33
50.1 deg, rel. 32
51.3 deg, rel. 29
15.9 deg, rel. 21
72.8 deg, rel. 19
74.6 deg, rel. 18
89.4 deg, rel. 11
89.3 deg, rel. 11

Lattice parameters (Å, degrees): 6.7684 6.7684 5.8353 106.55 106.55 31.19
Element x y z (fractional)
Ti: 0.2198 0.2198 0.1595
Ti: 0.7802 0.7802 0.8405
Ni: 0.0417 0.0417 0.2269
Ni: 0.1413 0.1413 0.6913
Ni: 0.3233 0.3233 0.5976
Ni: 0.4081 0.4081 0.0536
Ni: 0.5919 0.5919 0.9464
Ni: 0.6767 0.6767 0.4024
Ni: 0.8587 0.8587 0.3087
Ni: 0.9583 0.9583 0.7731
Ir: 0.5000 0.5000 0.5000

***

Simulated powder XRD pattern of Ac2AuN for Cu Kα (λ = 1.5418 Å), from a DFT-relaxed cell (PBE, Alexandria).
No peak broadening, texture or thermal motion is included.

Largest 10 diffraction maxima, in order of falling intensity, 15 to 90 degrees two-theta:
29.1 deg, rel. 100
51.6 deg, rel. 17
31.5 deg, rel. 15
43.5 deg, rel. 14
54.6 deg, rel. 11
39.5 deg, rel. 9
50.0 deg, rel. 7
51.5 deg, rel. 7
60.3 deg, rel. 6
39.6 deg, rel. 6

Lattice parameters (Å, degrees): 7.3879 7.3879 6.1249 90.00 90.00 134.81
Element x y z (fractional)
Ac: 0.1117 0.3206 0.0000
Ac: 0.3206 0.1117 0.5000
Ac: 0.6794 0.8883 0.5000
Ac: 0.8883 0.6794 0.0000
Au: 0.0000 0.5000 0.5000
Au: 0.5000 0.0000 0.0000
N: 0.0000 0.0000 0.2500
N: 0.0000 0.0000 0.7500